No. 1
Pr12HgRh6: computed X-ray powder pattern (Cu Kα), based on a PBE-relaxed structure.

Structural model:
```
19
Lattice="-5.138 5.138 5.138 5.138 -5.138 5.138 5.138 5.138 -5.138" Properties=species:S:1:pos:R:3 pbc="T T T"
Pr 5.138 3.234 -2.002
Pr 3.136 0.000 1.904
Pr 7.140 0.000 1.904
Pr 1.904 3.136 0.000
Pr 3.234 -2.002 5.138
Pr 0.000 1.904 3.136
Pr 5.138 3.234 2.002
Pr 1.904 7.140 0.000
Pr 3.234 2.002 5.138
Pr -2.002 5.138 3.234
Pr 2.002 5.138 3.234
Pr 0.000 1.904 7.140
Hg 0.000 0.000 0.000
Rh 5.138 1.355 0.000
Rh 5.138 0.000 3.783
Rh 3.783 5.138 0.000
Rh 1.355 0.000 5.138
Rh 0.000 5.138 1.355
Rh 0.000 3.783 5.138
```

Peak list (12 most intense, 2θ = 15–90°, sorted by position)
- 27.45°, 3.250 Å, I 17
- 30.13°, 2.967 Å, I 25
- 32.60°, 2.746 Å, I 100
- 34.92°, 2.569 Å, I 13
- 37.12°, 2.422 Å, I 11
- 44.98°, 2.015 Å, I 26
- 51.88°, 1.762 Å, I 19
- 53.50°, 1.713 Å, I 14
- 55.09°, 1.667 Å, I 29
- 64.07°, 1.453 Å, I 16
- 79.07°, 1.211 Å, I 14
- 80.38°, 1.195 Å, I 15

No. 2
Pr5HgRh4: computed X-ray powder pattern (Cu Kα), based on a PBE-relaxed structure.

Structural model:
```
10
Lattice="3.620 0.000 0.000 0.000 3.620 0.000 0.000 0.000 18.315" Properties=species:S:1:pos:R:3 pbc="T T T"
Pr 0.000 0.000 0.000
Pr 0.000 0.000 3.502
Pr 0.000 0.000 6.972
Pr 0.000 0.000 11.343
Pr 0.000 0.000 14.814
Hg 1.810 1.810 9.158
Rh 1.810 1.810 1.772
Rh 1.810 1.810 5.328
Rh 1.810 1.810 12.988
Rh 1.810 1.810 16.543
```

Peak list (12 most intense, 2θ = 15–90°, sorted by position)
- 31.50°, 2.840 Å, I 6
- 34.84°, 2.575 Å, I 100
- 35.05°, 2.560 Å, I 55
- 49.79°, 1.831 Å, I 8
- 50.41°, 1.810 Å, I 19
- 62.34°, 1.490 Å, I 14
- 62.74°, 1.481 Å, I 36
- 73.57°, 1.287 Å, I 8
- 74.07°, 1.280 Å, I 6
- 83.57°, 1.157 Å, I 3
- 84.53°, 1.146 Å, I 8
- 84.66°, 1.145 Å, I 9